RePO5: computed powder diffractogram (Cu Kα, 1.54184 Å), based on DFT lattice parameters and positions (GGA-PBE).
Peak positions follow from Bragg's law for the DFT cell and can differ from measured ones.

Structure:
Cell: 12.5010 12.4315 5.2581 Å, 90.00 90.61 90.00°
Space group C2/c (No. 15)
Unique sites:
Re  0.1469  0.1008  0.2618 (multiplicity 8)
P  0.1162  0.2801  0.7800 (multiplicity 8)
O  0.0000  0.0845  0.2500 (multiplicity 4)
O  0.0000  0.3372  0.7500 (multiplicity 4)
O  0.1204  0.1872  0.5925 (multiplicity 8)
O  0.1301  0.2437  0.0586 (multiplicity 8)
O  0.1646  0.0179  0.9756 (multiplicity 8)
O  0.1937  0.3713  0.7120 (multiplicity 8)

The 10 most intense peaks (10° ≤ 2θ ≤ 90°), in order of rising 2θ:
h k l	d/Å	2theta	I_rel
1 1 0	8.815	10.03	100
0 2 1	4.014	22.14	81
3 1 0	3.951	22.50	35
1 3 -1	3.151	28.32	32
4 0 0	3.125	28.56	21
0 0 2	2.629	34.11	13
3 3 -1	2.573	34.87	12
3 3 1	2.557	35.10	16
4 2 1	2.456	36.59	10
7 3 1	1.562	59.16	9

=====

PRhO4: computed powder diffractogram (Cu Kα, 1.54184 Å), based on DFT lattice parameters and positions (GGA-PBE).
Peak positions follow from Bragg's law for the DFT cell and can differ from measured ones.

Structure:
Cell: 10.5628 13.3272 6.4776 Å, 90.00 90.00 90.00°
Space group Imma (No. 74)
Unique sites:
P  0.0000  0.2500  0.0808 (multiplicity 4)
P  0.2500  0.0758  0.7500 (multiplicity 8)
Rh  0.0000  0.0000  0.0000 (multiplicity 4)
Rh  0.2500  0.1310  0.2500 (multiplicity 8)
O  0.0000  0.1540  0.9515 (multiplicity 8)
O  0.1218  0.2500  0.2269 (multiplicity 8)
O  0.1373  0.0067  0.2234 (multiplicity 16)
O  0.2238  0.1387  0.5614 (multiplicity 16)

The 10 most intense peaks (10° ≤ 2θ ≤ 90°), in order of rising 2θ:
h k l	d/Å	2theta	I_rel
0 2 0	6.664	13.29	29
0 1 1	5.826	15.21	87
1 0 1	5.522	16.05	100
2 0 0	5.281	16.79	51
2 1 1	3.913	22.73	29
2 4 0	2.818	31.75	98
2 0 2	2.761	32.43	89
4 0 0	2.641	33.95	42
2 5 1	2.234	40.38	31
4 4 2	1.744	52.47	43

=====

Si2P3RhO13: computed powder diffractogram (Cu Kα, 1.54184 Å), based on DFT lattice parameters and positions (GGA-PBE).
Peak positions follow from Bragg's law for the DFT cell and can differ from measured ones.

Structure:
Cell: 8.2208 8.2208 8.8421 Å, 90.00 90.00 120.00°
Space group P321 (No. 150)
Unique sites:
Si  0.3333  0.6667  0.0028 (multiplicity 2)
Si  0.3333  0.6667  0.3677 (multiplicity 2)
P  0.0000  0.2834  0.0000 (multiplicity 3)
P  0.0000  0.7143  0.5000 (multiplicity 3)
Rh  0.0000  0.0000  0.2519 (multiplicity 2)
O  0.0983  0.2408  0.1259 (multiplicity 6)
O  0.1001  0.8578  0.6244 (multiplicity 6)
O  0.1491  0.6691  0.4302 (multiplicity 6)
O  0.1519  0.4802  0.9314 (multiplicity 6)
O  0.3333  0.6667  0.1849 (multiplicity 2)

The 10 most intense peaks (10° ≤ 2θ ≤ 90°), in order of rising 2θ:
h k l	d/Å	2theta	I_rel
1 0 0	7.119	12.43	100
1 0 1	5.545	15.98	13
1 1 0	4.110	21.62	44
0 1 2	3.756	23.69	60
1 1 1	3.727	23.87	60
1 1 2	3.010	29.68	38
2 0 2	2.773	32.29	40
3 0 0	2.373	37.91	17
2 1 2	2.299	39.19	33
0 3 4	1.618	56.93	15

=====

P3RuO9: computed powder diffractogram (Cu Kα, 1.54184 Å), based on DFT lattice parameters and positions (GGA-PBE).
Peak positions follow from Bragg's law for the DFT cell and can differ from measured ones.

Structure:
Cell: 5.1263 7.0623 10.4740 Å, 98.63 92.41 92.36°
Space group P-1 (No. 2)
Unique sites:
P  0.0012  0.1706  0.3609 (multiplicity 2)
P  0.0258  0.4591  0.1812 (multiplicity 2)
P  0.2589  0.1857  0.7713 (multiplicity 2)
Ru  0.5000  0.0000  0.5000 (multiplicity 1)
Ru  0.5000  0.5000  0.0000 (multiplicity 1)
O  0.0119  0.3187  0.7673 (multiplicity 2)
O  0.0343  0.6294  0.6894 (multiplicity 2)
O  0.1166  0.9780  0.7636 (multiplicity 2)
O  0.1638  0.8337  0.5242 (multiplicity 2)
O  0.1696  0.6196  0.9266 (multiplicity 2)
O  0.2923  0.1452  0.3778 (multiplicity 2)
O  0.3127  0.4331  0.1575 (multiplicity 2)
O  0.4043  0.2297  0.9017 (multiplicity 2)
O  0.4150  0.1993  0.6536 (multiplicity 2)

The 10 most intense peaks (10° ≤ 2θ ≤ 90°), in order of rising 2θ:
h k l	d/Å	2theta	I_rel
0 1 -1	6.239	14.20	100
0 1 1	5.413	16.38	68
1 -1 1	3.982	22.32	36
1 1 -1	3.930	22.63	11
1 0 -2	3.729	23.86	32
1 0 2	3.551	25.08	19
1 1 2	3.002	29.76	9
1 1 -3	2.802	31.95	19
0 2 2	2.707	33.10	12
1 -2 2	2.680	33.44	16

=====

P3RuO9: computed powder diffractogram (Cu Kα, 1.54184 Å), based on DFT lattice parameters and positions (GGA-PBE).
Peak positions follow from Bragg's law for the DFT cell and can differ from measured ones.

Structure:
Cell: 6.4019 15.5627 8.4736 Å, 90.00 106.58 90.00°
Space group P2_1/c (No. 14)
Unique sites:
P  0.0915  0.1141  0.2959 (multiplicity 4)
P  0.2897  0.6600  0.4837 (multiplicity 4)
P  0.3486  0.5438  0.7776 (multiplicity 4)
Ru  0.3804  0.6362  0.1241 (multiplicity 4)
O  0.0359  0.6534  0.3814 (multiplicity 4)
O  0.0548  0.6112  0.0941 (multiplicity 4)
O  0.1382  0.0172  0.2465 (multiplicity 4)
O  0.3007  0.1634  0.3597 (multiplicity 4)
O  0.3145  0.7350  0.5971 (multiplicity 4)
O  0.3176  0.6215  0.8754 (multiplicity 4)
O  0.3256  0.5737  0.5928 (multiplicity 4)
O  0.4350  0.6502  0.3724 (multiplicity 4)
O  0.4421  0.5063  0.1600 (multiplicity 4)

The 10 most intense peaks (10° ≤ 2θ ≤ 90°), in order of rising 2θ:
h k l	d/Å	2theta	I_rel
0 1 1	7.200	12.29	30
1 0 0	6.136	14.44	36
1 1 0	5.708	15.52	87
0 2 1	5.619	15.77	100
1 1 -1	5.392	16.44	20
0 1 2	3.930	22.63	26
0 4 0	3.891	22.86	40
1 1 -2	3.823	23.27	22
2 1 0	3.010	29.68	30
0 6 1	2.471	36.36	17

=====

P3RuO9: computed powder diffractogram (Cu Kα, 1.54184 Å), based on DFT lattice parameters and positions (GGA-PBE).
Peak positions follow from Bragg's law for the DFT cell and can differ from measured ones.

Structure:
Cell: 13.3292 6.5868 9.5928 Å, 90.00 126.40 90.00°
Space group C2/c (No. 15)
Unique sites:
P  0.0000  0.0529  0.2500 (multiplicity 4)
P  0.1134  0.4079  0.1780 (multiplicity 8)
Ru  0.2500  0.2500  0.0000 (multiplicity 4)
O  0.0000  0.5000  0.0000 (multiplicity 4)
O  0.0566  0.1951  0.1784 (multiplicity 8)
O  0.1012  0.0623  0.9075 (multiplicity 8)
O  0.1362  0.4692  0.8266 (multiplicity 8)
O  0.2234  0.3731  0.1746 (multiplicity 8)

The 10 most intense peaks (10° ≤ 2θ ≤ 90°), in order of rising 2θ:
h k l	d/Å	2theta	I_rel
1 1 -1	5.409	16.39	36
2 0 -2	4.738	18.73	18
1 1 1	3.989	22.29	100
3 1 -1	3.651	24.38	13
3 1 -2	3.484	25.57	26
4 0 -2	3.306	26.97	13
3 1 -3	2.848	31.41	21
2 2 0	2.806	31.89	19
2 0 2	2.506	35.83	17
6 2 -4	1.743	52.51	10